For YEr2Zn6, a crystal structure in Alexandria, relaxed with GGA-PBE gives the simulated powder XRD pattern in this record (Cu Kα X-rays).

Principal peaks in the range 10 to 90 degrees two-theta, by angle:
Position (°2θ)	I_rel
13.24	7
23.04	15
34.69	100
40.48	58
52.54	9
54.34	28
68.35	24
69.90	25
73.62	9
87.78	7

Atomic structure:
abc: 7.720 7.720 3.484
angles: 90.00 90.00 120.00
Fractional coordinates of all 9 atoms:
Y1 0.000 0.000 0.000
Er1 0.333 0.667 0.000
Er2 0.667 0.333 0.000
Zn1 0.000 0.334 0.500
Zn2 0.000 0.666 0.500
Zn3 0.334 0.000 0.500
Zn4 0.334 0.334 0.500
Zn5 0.666 0.000 0.500
Zn6 0.666 0.666 0.500

For Rb3La3HfTe8, a crystal structure in Alexandria, relaxed with GGA-PBE gives the simulated powder XRD pattern in this record (Cu Kα X-rays).

Principal peaks in the range 10 to 90 degrees two-theta, by angle:
Position (°2θ)	I_rel
10.12	41
11.62	11
26.21	100
32.84	19
35.49	32
39.22	36
44.31	12
47.79	18
53.91	10
63.48	15

Atomic structure:
abc: 10.222 10.222 10.222
angles: 53.41 53.41 53.41
Fractional coordinates of all 15 atoms:
Rb1 0.000 0.500 0.500
Rb2 0.500 0.000 0.500
Rb3 0.500 0.500 0.000
La1 0.000 0.000 0.500
La2 0.000 0.500 0.000
La3 0.500 0.000 0.000
Hf1 0.500 0.500 0.500
Te1 0.236 0.236 0.236
Te2 0.259 0.717 0.717
Te3 0.283 0.283 0.741
Te4 0.283 0.741 0.283
Te5 0.717 0.259 0.717
Te6 0.717 0.717 0.259
Te7 0.741 0.283 0.283
Te8 0.764 0.764 0.764

For Ni2IrSe, a crystal structure in Alexandria, relaxed with GGA-PBE gives the simulated powder XRD pattern in this record (Cu Kα X-rays).

Principal peaks in the range 10 to 90 degrees two-theta, by angle:
Position (°2θ)	I_rel
20.03	12
23.99	26
31.63	12
37.56	12
40.70	24
42.71	100
44.36	24
61.76	14
75.46	11
80.52	15

Atomic structure:
abc: 5.104 5.104 5.104
angles: 146.00 132.84 59.40
Fractional coordinates of all 4 atoms:
Ni1 0.000 0.000 0.000
Ni2 0.724 0.224 0.500
Ir1 0.448 0.448 0.000
Se1 0.220 0.720 0.500

For CaMgBi3, a crystal structure in Alexandria, relaxed with GGA-PBE gives the simulated powder XRD pattern in this record (Cu Kα X-rays).

Principal peaks in the range 10 to 90 degrees two-theta, by angle:
Position (°2θ)	I_rel
20.10	34
27.19	62
27.31	54
29.55	40
30.51	100
32.33	32
35.85	30
39.21	46
47.01	41
47.82	32

Atomic structure:
abc: 13.846 6.468 6.720
angles: 90.00 90.00 90.00
Fractional coordinates of all 20 atoms:
Ca1 0.186 0.015 0.250
Ca2 0.186 0.485 0.750
Ca3 0.814 0.515 0.250
Ca4 0.814 0.985 0.750
Mg1 0.385 0.750 0.000
Mg2 0.385 0.750 0.500
Mg3 0.615 0.250 0.000
Mg4 0.615 0.250 0.500
Bi1 0.010 0.750 0.000
Bi2 0.010 0.750 0.500
Bi3 0.242 0.504 0.250
Bi4 0.242 0.996 0.750
Bi5 0.424 0.195 0.250
Bi6 0.424 0.305 0.750
Bi7 0.576 0.695 0.250
Bi8 0.576 0.805 0.750
Bi9 0.758 0.004 0.250
Bi10 0.758 0.496 0.750
Bi11 0.990 0.250 0.000
Bi12 0.990 0.250 0.500

For Sr3Li3Zn2, a crystal structure in Alexandria, relaxed with GGA-PBE gives the simulated powder XRD pattern in this record (Cu Kα X-rays).

Principal peaks in the range 10 to 90 degrees two-theta, by angle:
Position (°2θ)	I_rel
17.94	30
18.93	43
23.49	28
30.28	45
30.41	100
30.62	36
32.95	47
35.49	44
45.62	30
57.52	25

Atomic structure:
abc: 6.548 6.548 14.719
angles: 90.00 90.00 130.95
Fractional coordinates of all 16 atoms:
Sr1 0.050 0.950 0.750
Sr2 0.158 0.842 0.034
Sr3 0.158 0.842 0.466
Sr4 0.842 0.158 0.534
Sr5 0.842 0.158 0.966
Sr6 0.950 0.050 0.250
Li1 0.260 0.740 0.250
Li2 0.467 0.533 0.095
Li3 0.467 0.533 0.405
Li4 0.533 0.467 0.595
Li5 0.533 0.467 0.905
Li6 0.740 0.260 0.750
Zn1 0.314 0.686 0.664
Zn2 0.314 0.686 0.836
Zn3 0.686 0.314 0.164
Zn4 0.686 0.314 0.336

For PuTeSO7, a crystal structure in Alexandria, relaxed with GGA-PBE gives the simulated powder XRD pattern in this record (Cu Kα X-rays).

Principal peaks in the range 10 to 90 degrees two-theta, by angle:
Position (°2θ)	I_rel
12.09	90
18.17	31
24.97	66
25.89	72
27.68	100
31.10	46
32.85	26
37.24	23
46.79	29
49.98	24

Atomic structure:
abc: 7.801 13.762 5.564
angles: 90.00 110.19 90.00
Fractional coordinates of all 40 atoms:
Pu1 0.082 0.131 0.414
Pu2 0.082 0.369 0.914
Pu3 0.918 0.631 0.086
Pu4 0.918 0.869 0.586
Te1 0.237 0.627 0.782
Te2 0.237 0.873 0.282
Te3 0.763 0.127 0.718
Te4 0.763 0.373 0.218
S1 0.366 0.137 0.110
S2 0.366 0.363 0.610
S3 0.634 0.637 0.390
S4 0.634 0.863 0.890
O1 0.076 0.723 0.838
O2 0.076 0.777 0.338
O3 0.082 0.586 0.452
O4 0.082 0.914 0.952
O5 0.129 0.542 0.962
O6 0.129 0.958 0.462
O7 0.240 0.216 0.143
O8 0.240 0.284 0.643
O9 0.300 0.100 0.845
O10 0.300 0.400 0.345
O11 0.348 0.062 0.295
O12 0.348 0.438 0.795
O13 0.445 0.672 0.316
O14 0.445 0.828 0.816
O15 0.555 0.172 0.184
O16 0.555 0.328 0.684
O17 0.652 0.562 0.205
O18 0.652 0.938 0.705
O19 0.700 0.600 0.655
O20 0.700 0.900 0.155
O21 0.760 0.716 0.357
O22 0.760 0.784 0.857
O23 0.871 0.042 0.538
O24 0.871 0.458 0.038
O25 0.918 0.086 0.048
O26 0.918 0.414 0.548
O27 0.924 0.223 0.662
O28 0.924 0.277 0.162

For PuRuRhPb, a crystal structure in Alexandria, relaxed with GGA-PBE gives the simulated powder XRD pattern in this record (Cu Kα X-rays).

Principal peaks in the range 10 to 90 degrees two-theta, by angle:
Position (°2θ)	I_rel
26.48	15
37.80	100
46.75	5
54.53	18
61.62	7
68.26	36
80.77	11
86.82	4

Atomic structure:
abc: 4.759 4.759 4.759
angles: 60.00 60.00 60.00
Fractional coordinates of all 4 atoms:
Pu1 0.000 0.000 0.000
Ru1 0.750 0.750 0.750
Rh1 0.250 0.250 0.250
Pb1 0.500 0.500 0.500

For ErGa5Cu7, a crystal structure in Alexandria, relaxed with GGA-PBE gives the simulated powder XRD pattern in this record (Cu Kα X-rays).

Principal peaks in the range 10 to 90 degrees two-theta, by angle:
Position (°2θ)	I_rel
34.69	23
35.50	32
36.29	33
40.59	52
40.90	50
41.58	100
42.00	65
42.77	35
46.13	46
66.92	19

Atomic structure:
abc: 6.594 6.594 6.594
angles: 133.82 97.48 100.22
Fractional coordinates of all 13 atoms:
Er1 0.000 0.000 0.000
Ga1 0.008 0.500 0.013
Ga2 0.008 0.996 0.508
Ga3 0.487 0.500 0.492
Ga4 0.487 0.996 0.987
Ga5 0.784 0.284 0.500
Cu1 0.211 0.711 0.500
Cu2 0.215 0.497 0.718
Cu3 0.354 0.354 0.000
Cu4 0.355 0.002 0.353
Cu5 0.648 0.002 0.647
Cu6 0.652 0.652 0.000
Cu7 0.779 0.497 0.282

What did the second record say?
For Rb3La3HfTe8, a crystal structure in Alexandria, relaxed with GGA-PBE gives the simulated powder XRD pattern in this record (Cu Kα X-rays).

Principal peaks in the range 10 to 90 degrees two-theta, by angle:
Position (°2θ)	I_rel
10.12	41
11.62	11
26.21	100
32.84	19
35.49	32
39.22	36
44.31	12
47.79	18
53.91	10
63.48	15

Atomic structure:
abc: 10.222 10.222 10.222
angles: 53.41 53.41 53.41
Fractional coordinates of all 15 atoms:
Rb1 0.000 0.500 0.500
Rb2 0.500 0.000 0.500
Rb3 0.500 0.500 0.000
La1 0.000 0.000 0.500
La2 0.000 0.500 0.000
La3 0.500 0.000 0.000
Hf1 0.500 0.500 0.500
Te1 0.236 0.236 0.236
Te2 0.259 0.717 0.717
Te3 0.283 0.283 0.741
Te4 0.283 0.741 0.283
Te5 0.717 0.259 0.717
Te6 0.717 0.717 0.259
Te7 0.741 0.283 0.283
Te8 0.764 0.764 0.764